# ScTaRu2
Simulated PXRD pattern, Cu Ka. Input: a crystal structure in the Materials Project, relaxed with PBE.
Neutral-atom scattering factors, no anomalous dispersion.

Atomic structure:
Cell: 6.370 6.370 6.370 Å, 90.00 90.00 90.00°
Element x y z (fractional)
Sc 0.000 0.000 0.000
Sc 0.000 0.500 0.500
Sc 0.500 0.000 0.500
Sc 0.500 0.500 0.000
Ta 0.000 0.000 0.500
Ta 0.000 0.500 0.000
Ta 0.500 0.000 0.000
Ta 0.500 0.500 0.500
Ru 0.250 0.250 0.250
Ru 0.250 0.250 0.750
Ru 0.250 0.750 0.250
Ru 0.250 0.750 0.750
Ru 0.750 0.250 0.250
Ru 0.750 0.250 0.750
Ru 0.750 0.750 0.250
Ru 0.750 0.750 0.750

Principal peaks in the range 2θ = 15–90°, by angle:
- hkl 1 1 1, 2θ 24.20, rel. 23.4
- hkl 2 2 0, 2θ 40.04, rel. 100.0
- hkl 3 1 1, 2θ 47.33, rel. 12.5
- hkl 4 0 0, 2θ 57.91, rel. 16.7
- hkl 3 3 1, 2θ 63.68, rel. 5.4
- hkl 4 2 2, 2θ 72.73, rel. 33.4
- hkl 5 1 1, 2θ 77.94, rel. 4.1
- hkl 4 4 0, 2θ 86.41, rel. 10.8



# Sc6Te2Ru
Simulated PXRD pattern, Cu Ka. Input: a crystal structure in the Materials Project, relaxed with PBE.
Neutral-atom scattering factors, no anomalous dispersion.

Atomic structure:
Cell: 7.777 7.777 3.850 Å, 90.00 90.00 120.00°
Element x y z (fractional)
Sc 0.000 0.239 0.000
Sc 0.000 0.616 0.500
Sc 0.239 0.000 0.000
Sc 0.384 0.384 0.500
Sc 0.616 0.000 0.500
Sc 0.761 0.761 0.000
Te 0.333 0.667 0.000
Te 0.667 0.333 0.000
Ru 0.000 0.000 0.500

Principal peaks in the range 2θ = 15–90°, by angle:
- hkl 1 1 0, 2θ 22.87, rel. 91.2
- hkl 1 0 1, 2θ 26.67, rel. 47.1
- hkl 1 1 1, 2θ 32.73, rel. 74.7
- hkl 2 1 0, 2θ 35.26, rel. 25.3
- hkl 2 0 1, 2θ 35.41, rel. 100.0
- hkl 3 0 0, 2θ 40.17, rel. 74.3
- hkl 2 1 1, 2θ 42.57, rel. 86.4
- hkl 0 0 2, 2θ 47.22, rel. 25.8
- hkl 3 0 2, 2θ 63.68, rel. 36.3
- hkl 3 2 1, 2θ 65.04, rel. 34.8



# ScTiRu2
Simulated PXRD pattern, Cu Ka. Input: a crystal structure in the Materials Project, relaxed with PBE.
Neutral-atom scattering factors, no anomalous dispersion.

Atomic structure:
Cell: 6.293 6.293 6.293 Å, 90.00 90.00 90.00°
Element x y z (fractional)
Sc 0.000 0.000 0.000
Sc 0.000 0.500 0.500
Sc 0.500 0.000 0.500
Sc 0.500 0.500 0.000
Ti 0.000 0.000 0.500
Ti 0.000 0.500 0.000
Ti 0.500 0.000 0.000
Ti 0.500 0.500 0.500
Ru 0.250 0.250 0.250
Ru 0.250 0.250 0.750
Ru 0.250 0.750 0.250
Ru 0.250 0.750 0.750
Ru 0.750 0.250 0.250
Ru 0.750 0.250 0.750
Ru 0.750 0.750 0.250
Ru 0.750 0.750 0.750

Principal peaks in the range 2θ = 15–90°, by angle:
- hkl 2 0 0, 2θ 28.37, rel. 19.3
- hkl 2 2 0, 2θ 40.55, rel. 100.0
- hkl 2 2 2, 2θ 50.22, rel. 5.6
- hkl 4 0 0, 2θ 58.69, rel. 16.1
- hkl 4 2 0, 2θ 66.44, rel. 7.4
- hkl 4 2 2, 2θ 73.77, rel. 31.5
- hkl 4 4 0, 2θ 87.74, rel. 10.1



# TmScRu2
Simulated PXRD pattern, Cu Ka. Input: a crystal structure in the Materials Project, relaxed with PBE.
Neutral-atom scattering factors, no anomalous dispersion.

Atomic structure:
Cell: 6.573 6.573 6.573 Å, 90.00 90.00 90.00°
Element x y z (fractional)
Tm 0.000 0.000 0.000
Tm 0.000 0.500 0.500
Tm 0.500 0.000 0.500
Tm 0.500 0.500 0.000
Sc 0.000 0.000 0.500
Sc 0.000 0.500 0.000
Sc 0.500 0.000 0.000
Sc 0.500 0.500 0.500
Ru 0.250 0.250 0.250
Ru 0.250 0.250 0.750
Ru 0.250 0.750 0.250
Ru 0.250 0.750 0.750
Ru 0.750 0.250 0.250
Ru 0.750 0.250 0.750
Ru 0.750 0.750 0.250
Ru 0.750 0.750 0.750

Principal peaks in the range 2θ = 15–90°, by angle:
- hkl 1 1 1, 2θ 23.44, rel. 20.6
- hkl 2 2 0, 2θ 38.75, rel. 100.0
- hkl 3 1 1, 2θ 45.78, rel. 11.2
- hkl 4 0 0, 2θ 55.95, rel. 16.9
- hkl 3 3 1, 2θ 61.49, rel. 4.8
- hkl 4 2 2, 2θ 70.14, rel. 33.7
- hkl 5 1 1, 2θ 75.09, rel. 3.7
- hkl 4 4 0, 2θ 83.12, rel. 10.6
- hkl 5 3 1, 2θ 87.87, rel. 3.9